Computed powder diffraction line list of V6O5F19 for a wavelength of 1.5418 Å, from the GGA+U geometry in the Materials Project.

Atomic structure:
Unit cell a=5.375 b=5.520 c=14.726 alpha=79.33 beta=89.64 gamma=87.66
Space group P1 (No. 1)
One atom of each set of equivalent atoms:
V1 0.000 0.000 0.000
V2 0.000 0.325 0.334
V3 0.087 0.696 0.658
V4 0.491 0.511 0.993
V5 0.520 0.862 0.328
V6 0.595 0.237 0.669
O1 0.262 0.347 0.975
O2 0.318 0.499 0.643
O3 0.818 0.418 0.687
O4 0.831 0.762 0.017
O5 0.834 0.079 0.355
F1 0.088 0.668 0.779
F2 0.123 0.350 0.443
F3 0.130 0.002 0.110
F4 0.239 0.985 0.637
F5 0.247 0.695 0.304
F6 0.311 0.834 0.968
F7 0.316 0.178 0.306
F8 0.440 0.157 0.777
F9 0.464 0.841 0.448
F10 0.471 0.522 0.112
F11 0.593 0.258 0.548
F12 0.627 0.590 0.881
F13 0.636 0.931 0.214
F14 0.735 0.559 0.354
F15 0.745 0.245 0.024
F16 0.747 0.929 0.686
F17 0.936 0.754 0.549
F18 0.960 0.122 0.881
F19 0.961 0.435 0.214

Top 10 peaks for 2θ from 10° to 90°, in order of falling intensity:
d 4.824, 18.39°, I 100, hkl 0 0 3; d 3.638, 24.47°, I 99, hkl 1 1 -1; d 3.512, 25.36°, I 92, hkl 1 -1 1; d 2.757, 32.47°, I 16, hkl 0 2 1; d 1.886, 48.26°, I 16, hkl -2 2 1; d 2.412, 37.28°, I 14, hkl 0 0 6; d 2.200, 41.02°, I 13, hkl 1 0 -6; d 1.964, 46.22°, I 13, hkl 2 2 1; d 1.733, 52.82°, I 12, hkl 1 3 0; d 1.756, 52.07°, I 11, hkl -2 2 4

---

Computed powder diffraction line list of V3OF7 for a wavelength of 1.5418 Å, from the GGA+U geometry in the Materials Project.

Atomic structure:
Unit cell a=4.033 b=7.981 c=10.010 alpha=90.14 beta=90.04 gamma=104.62
Space group P1 (No. 1)
One atom of each set of equivalent atoms:
V1 0.000 0.000 0.000
V2 0.001 0.001 0.645
V3 0.139 0.279 0.323
V4 0.221 0.438 0.825
V5 0.357 0.715 0.501
V6 0.359 0.717 0.146
O1 0.392 0.779 0.324
O2 0.969 0.937 0.822
F1 0.047 0.092 0.460
F2 0.048 0.096 0.191
F3 0.125 0.248 0.962
F4 0.126 0.255 0.692
F5 0.234 0.465 0.456
F6 0.234 0.470 0.186
F7 0.312 0.623 0.956
F8 0.313 0.625 0.687
F9 0.477 0.955 0.038
F10 0.481 0.961 0.605
F11 0.642 0.284 0.324
F12 0.717 0.433 0.825
F13 0.878 0.755 0.539
F14 0.882 0.764 0.107

Top 10 peaks for 2θ from 10° to 90°, in order of falling intensity:
d 3.902, 22.79°, I 100, hkl 1 -1 0; d 4.200, 21.15°, I 90, hkl 0 1 -2; d 3.602, 24.71°, I 42, hkl 0 2 1; d 2.017, 44.95°, I 39, hkl 2 -1 0; d 3.063, 29.16°, I 38, hkl 0 1 -3; d 3.175, 28.11°, I 15, hkl 1 1 0; d 1.818, 50.18°, I 15, hkl -2 2 2; d 2.035, 44.51°, I 14, hkl 0 3 3; d 2.041, 44.39°, I 14, hkl 0 3 -3; d 1.780, 51.34°, I 14, hkl 0 2 -5

---

Computed powder diffraction line list of V3O4F2 for a wavelength of 1.5418 Å, from the GGA+U geometry in the Materials Project.

Atomic structure:
Unit cell a=4.677 b=5.626 c=7.704 alpha=85.88 beta=89.93 gamma=89.96
Space group P1 (No. 1)
One atom of each set of equivalent atoms:
V1 0.000 0.000 0.000
V2 0.029 0.672 0.334
V3 0.059 0.348 0.666
V4 0.477 0.845 0.677
V5 0.531 0.172 0.333
V6 0.582 0.502 0.989
O1 0.220 0.372 0.435
O2 0.237 0.042 0.773
O3 0.332 0.552 0.772
O4 0.340 0.871 0.444
O5 0.719 0.473 0.222
O6 0.726 0.796 0.894
O7 0.822 0.306 0.893
O8 0.841 0.971 0.231
F1 0.238 0.699 0.094
F2 0.329 0.211 0.091
F3 0.731 0.135 0.575
F4 0.820 0.647 0.572

Top 10 peaks for 2θ from 10° to 90°, in order of falling intensity:
d 3.313, 26.91°, I 100, hkl 1 1 1; d 2.564, 34.99°, I 37, hkl 1 -1 2; d 1.727, 53.02°, I 28, hkl 1 1 4; d 1.657, 55.46°, I 17, hkl 2 2 2; d 1.737, 52.71°, I 15, hkl 1 3 0; d 1.732, 52.87°, I 14, hkl 2 2 -1; d 2.576, 34.82°, I 13, hkl 0 2 -1; d 2.246, 40.14°, I 12, hkl 1 0 -3; d 2.257, 39.95°, I 11, hkl 1 -2 1; d 1.390, 67.38°, I 11, hkl 3 -1 2